Computed powder diffraction line list
Compound: LiV2P4H2O16
Radiation: Cu Kα
Structure: a crystal structure in the Materials Project, relaxed with GGA+U
Neutral-atom scattering factors, no anomalous dispersion.

Atomic structure:
```
data_LiV2P4H2O16
_chemical_formula_sum 'Li2 V4 P8 H4 O32'
_cell_length_a 7.359
_cell_length_b 7.906
_cell_length_c 9.762
_cell_angle_alpha 90.00
_cell_angle_beta 104.44
_cell_angle_gamma 90.00
_space_group_name_H-M_alt 'P 1 21 1'
_space_group_IT_number 4
loop_
_space_group_symop_operation_xyz
'x,y,z'
'-x,y+1/2,-z'
loop_
_atom_site_label
_atom_site_fract_x
_atom_site_fract_y
_atom_site_fract_z
Li1 0.101 0.000 0.325
V1 0.257 0.625 0.375
V2 0.261 0.636 0.879
P1 0.012 0.286 0.438
P2 0.018 0.280 0.936
P3 0.476 0.986 0.807
P4 0.484 0.979 0.312
H1 0.235 0.138 0.606
H2 0.241 0.140 0.108
O1 0.065 0.458 0.886
O2 0.069 0.459 0.396
O3 0.097 0.685 0.695
O4 0.097 0.687 0.197
O5 0.112 0.791 0.959
O6 0.113 0.806 0.456
O7 0.186 0.174 0.497
O8 0.201 0.188 0.003
O9 0.301 0.082 0.744
O10 0.305 0.073 0.245
O11 0.383 0.473 0.791
O12 0.388 0.456 0.287
O13 0.402 0.574 0.554
O14 0.403 0.571 0.053
O15 0.422 0.805 0.857
O16 0.441 0.799 0.354
```

The 6 most intense peaks (15° ≤ 2θ ≤ 90°), sorted by position:
- d 5.294, intensity 75.7, hkl 1 1 0
- d 3.903, intensity 59.4, hkl 1 1 -2
- d 3.553, intensity 100.0, hkl 1 0 2
- d 3.457, intensity 67.9, hkl 1 2 0
- d 3.016, intensity 81.3, hkl 2 1 -2
- d 2.647, intensity 48.6, hkl 2 2 0

Computed powder diffraction line list
Compound: Sr3CoRuO6
Radiation: Cu Kα
Structure: a crystal structure in the Materials Project, relaxed with GGA+U
Neutral-atom scattering factors, no anomalous dispersion.

Atomic structure:
```
data_Sr3CoRuO6
_chemical_formula_sum 'Sr6 Co2 Ru2 O12'
_cell_length_a 6.633
_cell_length_b 6.807
_cell_length_c 6.808
_cell_angle_alpha 91.66
_cell_angle_beta 92.57
_cell_angle_gamma 92.40
_space_group_name_H-M_alt 'P 1'
_space_group_IT_number 1
loop_
_space_group_symop_operation_xyz
'x,y,z'
loop_
_atom_site_label
_atom_site_fract_x
_atom_site_fract_y
_atom_site_fract_z
Sr1 0.000 0.000 0.000
Sr2 0.134 0.861 0.499
Sr3 0.273 0.360 0.359
Sr4 0.499 0.136 0.866
Sr5 0.634 0.634 0.725
Sr6 0.771 0.496 0.224
Co1 0.129 0.505 0.853
Co2 0.635 0.990 0.371
Ru1 0.386 0.747 0.111
Ru2 0.886 0.246 0.612
O1 0.103 0.662 0.157
O2 0.168 0.199 0.696
O3 0.290 0.787 0.825
O4 0.354 0.035 0.209
O5 0.418 0.461 0.014
O6 0.483 0.710 0.398
O7 0.603 0.296 0.529
O8 0.669 0.832 0.066
O9 0.790 0.960 0.651
O10 0.853 0.344 0.899
O11 0.919 0.150 0.325
O12 0.985 0.534 0.573
```

The 6 most intense peaks (15° ≤ 2θ ≤ 90°), sorted by position:
- d 3.003, intensity 35.8, hkl 0 1 2
- d 2.970, intensity 31.2, hkl 1 2 0
- d 2.925, intensity 34.5, hkl 2 0 1
- d 2.813, intensity 100.0, hkl 1 1 -2
- d 2.796, intensity 50.6, hkl -2 1 1
- d 2.045, intensity 22.9, hkl 1 -1 3

Computed powder diffraction line list
Compound: AlMoP2O9
Radiation: Cu Kα
Structure: a crystal structure in the Materials Project, relaxed with GGA+U
Neutral-atom scattering factors, no anomalous dispersion.

Atomic structure:
```
data_AlMoP2O9
_chemical_formula_sum 'Al4 Mo4 P8 O36'
_cell_length_a 8.986
_cell_length_b 8.986
_cell_length_c 8.877
_cell_angle_alpha 90.00
_cell_angle_beta 90.00
_cell_angle_gamma 90.00
_space_group_name_H-M_alt 'P 4/n c c'
_space_group_IT_number 130
loop_
_space_group_symop_operation_xyz
'x,y,z'
'-x,-y,-z'
'-y+1/2,x,z'
'y+1/2,-x,-z'
'-x+1/2,-y+1/2,z'
'x+1/2,y+1/2,-z'
'y,-x+1/2,z'
'-y,x+1/2,-z'
'x+1/2,-y,-z+1/2'
'-x+1/2,y,z+1/2'
'-y,-x,-z+1/2'
'y,x,z+1/2'
'-x,y+1/2,-z+1/2'
'x,-y+1/2,z+1/2'
'y+1/2,x+1/2,-z+1/2'
'-y+1/2,-x+1/2,z+1/2'
loop_
_atom_site_label
_atom_site_fract_x
_atom_site_fract_y
_atom_site_fract_z
Al1 0.250 0.750 0.000
Mo1 0.250 0.250 0.182
P1 0.068 0.568 0.250
O1 0.089 0.102 0.733
O2 0.124 0.648 0.109
O3 0.250 0.250 0.489
```

The 6 most intense peaks (15° ≤ 2θ ≤ 90°), sorted by position:
- d 4.439, intensity 71.7, hkl 0 0 2
- d 3.980, intensity 65.9, hkl 1 0 2
- d 3.661, intensity 87.6, hkl 2 1 1
- d 3.639, intensity 77.7, hkl 1 1 2
- d 3.177, intensity 100.0, hkl 2 2 0
- d 2.979, intensity 61.3, hkl 2 1 2